Entry 1:
The following is a theoretical PXRD pattern of LuCo2. It was derived from a cell relaxed with PBE, using copper Kα.
Lines closer than 0.1° are merged.

Cell: 5.000 5.000 5.000 Å, 60.00 60.00 60.00°
Fractional coordinates of all 6 atoms:
Lu1 0.125 0.125 0.125
Lu2 0.875 0.875 0.875
Co1 0.000 0.500 0.500
Co2 0.500 0.000 0.500
Co3 0.500 0.500 0.000
Co4 0.500 0.500 0.500

Peak list (10 most intense, 2θ from 15° to 90°, in order of rising 2θ)
d 4.083, I = 19
d 2.500, I = 70
d 2.132, I = 100
d 2.041, I = 13
d 1.622, I = 5
d 1.443, I = 26
d 1.361, I = 30
d 1.250, I = 22
d 1.195, I = 4
d 1.118, I = 12

---

Entry 2:
The following is a theoretical PXRD pattern of NbAlVC. It was derived from a cell relaxed with PBE, using copper Kα.
Lines closer than 0.1° are merged.

Cell: 3.045 3.045 13.461 Å, 90.00 90.00 120.00°
Fractional coordinates of all 8 atoms:
Nb1 0.333 0.667 0.405
Nb2 0.667 0.333 0.595
Al1 0.333 0.667 0.764
Al2 0.667 0.333 0.236
V1 0.333 0.667 0.078
V2 0.667 0.333 0.922
C1 0.000 0.000 0.000
C2 0.000 0.000 0.500

Peak list (10 most intense, 2θ from 15° to 90°, in order of rising 2θ)
d 2.637, I = 21
d 2.588, I = 15
d 2.455, I = 12
d 2.273, I = 100
d 2.243, I = 17
d 1.709, I = 16
d 1.522, I = 20
d 1.301, I = 11
d 1.265, I = 14
d 1.260, I = 15

---

Entry 3:
The following is a theoretical PXRD pattern of Cs2KGaCl6. It was derived from a cell relaxed with PBE, using copper Kα.
Lines closer than 0.1° are merged.

Cell: 7.703 7.703 7.703 Å, 60.00 60.00 60.00°
Fractional coordinates of all 10 atoms:
Cs1 0.250 0.250 0.250
Cs2 0.750 0.750 0.750
K1 0.000 0.000 0.000
Ga1 0.500 0.500 0.500
Cl1 0.279 0.279 0.721
Cl2 0.279 0.721 0.279
Cl3 0.279 0.721 0.721
Cl4 0.721 0.279 0.279
Cl5 0.721 0.279 0.721
Cl6 0.721 0.721 0.279

Peak list (10 most intense, 2θ from 15° to 90°, in order of rising 2θ)
d 3.852, I = 100
d 3.145, I = 51
d 2.723, I = 69
d 2.224, I = 41
d 1.926, I = 44
d 1.722, I = 25
d 1.642, I = 16
d 1.572, I = 14
d 1.456, I = 26
d 1.218, I = 16

---

Entry 4:
The following is a theoretical PXRD pattern of MoW3Se2S6. It was derived from a cell relaxed with PBE, using copper Kα.
Lines closer than 0.1° are merged.

Cell: 3.223 3.223 36.382 Å, 90.00 90.00 120.00°
Fractional coordinates of all 12 atoms:
Mo1 0.000 0.000 0.000
W1 0.000 0.000 0.624
W2 0.333 0.667 0.188
W3 0.333 0.667 0.812
Se1 0.000 0.000 0.141
Se2 0.000 0.000 0.235
S1 0.000 0.000 0.769
S2 0.000 0.000 0.855
S3 0.333 0.667 0.043
S4 0.333 0.667 0.581
S5 0.333 0.667 0.667
S6 0.333 0.667 0.957

Peak list (10 most intense, 2θ from 15° to 90°, in order of rising 2θ)
d 2.792, I = 35
d 2.759, I = 21
d 2.720, I = 30
d 2.606, I = 27
d 2.536, I = 20
d 2.379, I = 100
d 2.215, I = 19
d 1.976, I = 57
d 1.612, I = 29
d 1.574, I = 20

---

Entry 5:
The following is a theoretical PXRD pattern of CuH8C2NCl3. It was derived from a cell relaxed with PBE, using copper Kα.
Lines closer than 0.1° are merged.

Cell: 8.597 9.713 10.676 Å, 73.36 68.69 64.78°
Fractional coordinates of all 60 atoms:
Cu1 0.079 0.151 0.429
Cu2 0.146 0.356 0.087
Cu3 0.854 0.644 0.913
Cu4 0.921 0.849 0.571
H1 0.069 0.695 0.271
H2 0.095 0.070 0.812
H3 0.184 0.979 0.955
H4 0.213 0.769 0.296
H5 0.217 0.867 0.834
H6 0.222 0.517 0.431
H7 0.264 0.248 0.760
H8 0.280 0.684 0.147
H9 0.295 0.441 0.289
H10 0.378 0.142 0.889
H11 0.394 0.009 0.665
H12 0.438 0.494 0.786
H13 0.459 0.622 0.628
H14 0.481 0.913 0.795
H15 0.485 0.577 0.372
H16 0.496 0.835 0.286
H17 0.504 0.165 0.714
H18 0.515 0.423 0.628
H19 0.519 0.087 0.205
H20 0.541 0.378 0.372
H21 0.562 0.506 0.214
H22 0.606 0.991 0.335
H23 0.622 0.858 0.111
H24 0.705 0.559 0.711
H25 0.720 0.316 0.853
H26 0.736 0.752 0.240
H27 0.778 0.483 0.569
H28 0.783 0.133 0.166
H29 0.787 0.231 0.704
H30 0.816 0.021 0.045
H31 0.905 0.930 0.188
H32 0.931 0.305 0.729
C1 0.206 0.979 0.848
C2 0.209 0.680 0.255
C3 0.380 0.151 0.784
C4 0.485 0.495 0.321
C5 0.515 0.505 0.679
C6 0.620 0.849 0.216
C7 0.791 0.320 0.745
C8 0.794 0.021 0.152
N1 0.296 0.526 0.329
N2 0.375 0.006 0.767
N3 0.625 0.994 0.233
N4 0.704 0.474 0.671
Cl1 0.052 0.588 0.645
Cl2 0.083 0.617 0.992
Cl3 0.189 0.888 0.520
Cl4 0.197 0.100 0.173
Cl5 0.297 0.186 0.475
Cl6 0.421 0.332 0.083
Cl7 0.579 0.668 0.917
Cl8 0.703 0.814 0.525
Cl9 0.803 0.900 0.827
Cl10 0.811 0.112 0.480
Cl11 0.917 0.383 0.008
Cl12 0.948 0.412 0.355

Peak list (10 most intense, 2θ from 15° to 90°, in order of rising 2θ)
d 4.909, I = 26
d 4.756, I = 18
d 4.203, I = 19
d 3.665, I = 19
d 3.235, I = 100
d 3.026, I = 18
d 2.665, I = 50
d 2.605, I = 16
d 2.147, I = 21
d 2.110, I = 15

---

Entry 6:
The following is a theoretical PXRD pattern of P3Au2. It was derived from a cell relaxed with PBE, using copper Kα.
Lines closer than 0.1° are merged.

Cell: 7.876 7.876 4.764 Å, 96.67 96.67 135.70°
Fractional coordinates of all 10 atoms:
P1 0.050 0.292 0.180
P2 0.183 0.183 0.471
P3 0.292 0.050 0.180
P4 0.708 0.950 0.820
P5 0.817 0.817 0.529
P6 0.950 0.708 0.820
Au1 0.000 0.500 0.500
Au2 0.392 0.608 0.000
Au3 0.500 0.000 0.500
Au4 0.608 0.392 0.000

Peak list (10 most intense, 2θ from 15° to 90°, in order of rising 2θ)
d 5.269, I = 31
d 3.850, I = 49
d 3.032, I = 25
d 2.842, I = 100
d 2.819, I = 54
d 2.633, I = 28
d 2.266, I = 21
d 2.234, I = 36
d 2.123, I = 24
d 1.829, I = 32